Structure and simulated PXRD pattern of Sm3Dy7Ho (a crystal structure in Alexandria, relaxed with GGA-PBE; Cu Kα (λ = 1.5418 Å)).
No peak broadening, texture or thermal motion is included.

Main lines, low angle first (2θ = 10–90°):
10.2°, I = 5
14.5°, I = 4
17.8°, I = 4
25.2°, I = 3
31.0°, I = 100
36.0°, I = 51
51.8°, I = 36
61.7°, I = 43
64.7°, I = 12
76.3°, I = 6
84.7°, I = 18
87.4°, I = 17

Structure:
a = 7.0585 Å, b = 7.0585 Å, c = 8.6370 Å
α = 90.00°, β = 90.00°, γ = 120.00°
Fractional coordinates of all 11 atoms:
Sm 0.0001 0.5000 0.0000
Sm 0.5000 0.9999 0.0000
Sm 0.5000 0.5000 0.0000
Dy 0.1676 0.3352 0.6637
Dy 0.1676 0.8324 0.6637
Dy 0.3352 0.1676 0.3359
Dy 0.6648 0.8324 0.6637
Dy 0.6667 0.3333 0.6615
Dy 0.8324 0.1676 0.3359
Dy 0.8324 0.6648 0.3359
Ho 0.3333 0.6667 0.3384

Structure and simulated PXRD pattern of Rb2Tl2AgSe4 (a crystal structure in Alexandria, relaxed with GGA-PBE; Cu Kα (λ = 1.5418 Å)).
No peak broadening, texture or thermal motion is included.

Main lines, low angle first (2θ = 10–90°):
11.8°, I = 100
24.2°, I = 30
26.1°, I = 41
27.3°, I = 47
29.9°, I = 70
31.4°, I = 24
31.7°, I = 48
38.0°, I = 30
39.6°, I = 35
40.4°, I = 26
48.2°, I = 20
48.8°, I = 21

Structure:
a = 8.8849 Å, b = 8.8849 Å, c = 7.8194 Å
α = 105.38°, β = 105.38°, γ = 29.68°
Fractional coordinates of all 9 atoms:
Rb 0.1172 0.1172 0.0356
Rb 0.8828 0.8828 0.9644
Tl 0.3401 0.3401 0.4822
Tl 0.6599 0.6599 0.5178
Ag 0.0000 0.0000 0.5000
Se 0.2231 0.2231 0.7113
Se 0.4830 0.4830 0.7297
Se 0.5170 0.5170 0.2703
Se 0.7769 0.7769 0.2887

Structure and simulated PXRD pattern of Cs2TeI6 (a crystal structure in Alexandria, relaxed with GGA-PBE; Cu Kα (λ = 1.5418 Å)).
No peak broadening, texture or thermal motion is included.

Main lines, low angle first (2θ = 10–90°):
11.9°, I = 26
15.0°, I = 92
19.6°, I = 17
22.3°, I = 100
23.8°, I = 36
29.1°, I = 77
30.3°, I = 47
31.6°, I = 28
32.7°, I = 41
36.3°, I = 54
45.6°, I = 21
50.2°, I = 17

Structure:
a = 8.3530 Å, b = 8.3530 Å, c = 16.1477 Å
α = 90.00°, β = 90.00°, γ = 90.00°
Fractional coordinates of all 18 atoms:
Cs 0.0000 0.0000 0.1656
Cs 0.0000 0.0000 0.8344
Cs 0.5000 0.5000 0.3344
Cs 0.5000 0.5000 0.6656
Te 0.0000 0.0000 0.5000
Te 0.5000 0.5000 0.0000
I 0.1758 0.1758 0.3680
I 0.1758 0.1758 0.6320
I 0.2478 0.2478 0.0000
I 0.2522 0.7478 0.5000
I 0.3242 0.6758 0.1320
I 0.3242 0.6758 0.8680
I 0.6758 0.3242 0.1320
I 0.6758 0.3242 0.8680
I 0.7478 0.2522 0.5000
I 0.7522 0.7522 0.0000
I 0.8242 0.8242 0.3680
I 0.8242 0.8242 0.6320

Structure and simulated PXRD pattern of Ce2Ga2Ru4C (a crystal structure in Alexandria, relaxed with GGA-PBE; Cu Kα (λ = 1.5418 Å)).
No peak broadening, texture or thermal motion is included.

Main lines, low angle first (2θ = 10–90°):
20.8°, I = 7
36.6°, I = 7
37.2°, I = 100
42.4°, I = 39
44.9°, I = 13
47.8°, I = 6
61.6°, I = 13
63.5°, I = 17
67.7°, I = 4
74.2°, I = 26
77.8°, I = 6
79.4°, I = 9

Structure:
a = 5.8681 Å, b = 5.8681 Å, c = 5.8681 Å
α = 118.21°, β = 118.21°, γ = 93.14°
Fractional coordinates of all 9 atoms:
Ce 0.2139 0.2139 0.0000
Ce 0.7861 0.7861 0.0000
Ga 0.2500 0.7500 0.5000
Ga 0.7500 0.2500 0.5000
Ru 0.2558 0.2558 0.5116
Ru 0.2558 0.7442 0.0000
Ru 0.7442 0.2558 0.0000
Ru 0.7442 0.7442 0.4884
C 0.5000 0.5000 0.0000

Structure and simulated PXRD pattern of CsCaYF6 (a crystal structure in Alexandria, relaxed with GGA-PBE; Cu Kα (λ = 1.5418 Å)).
No peak broadening, texture or thermal motion is included.

Main lines, low angle first (2θ = 10–90°):
15.0°, I = 24
21.4°, I = 17
21.7°, I = 14
25.0°, I = 100
25.4°, I = 18
26.5°, I = 31
33.3°, I = 12
34.0°, I = 11
39.5°, I = 17
40.2°, I = 17
43.5°, I = 18
51.2°, I = 12

Structure:
a = 8.3222 Å, b = 8.3222 Å, c = 8.3222 Å
α = 121.12°, β = 119.53°, γ = 89.44°
Fractional coordinates of all 18 atoms:
Cs 0.3254 0.0754 0.2500
Cs 0.6746 0.9246 0.7500
Ca 0.0000 0.0000 0.5000
Ca 0.0000 0.5000 0.0000
Y 0.0000 0.5000 0.5000
Y 0.5000 0.5000 0.0000
F 0.0631 0.4250 0.2492
F 0.0631 0.8139 0.6381
F 0.0761 0.8261 0.2500
F 0.3112 0.5612 0.7500
F 0.3242 0.1861 0.7492
F 0.3242 0.5750 0.1381
F 0.6758 0.4250 0.8619
F 0.6758 0.8139 0.2508
F 0.6888 0.4388 0.2500
F 0.9239 0.1739 0.7500
F 0.9369 0.1861 0.3619
F 0.9369 0.5750 0.7508

Structure and simulated PXRD pattern of Nd3Tl4SbS8 (a crystal structure in Alexandria, relaxed with GGA-PBE; Cu Kα (λ = 1.5418 Å)).
No peak broadening, texture or thermal motion is included.

Main lines, low angle first (2θ = 10–90°):
23.8°, I = 28
26.0°, I = 62
29.5°, I = 100
40.8°, I = 38
43.6°, I = 35
47.8°, I = 15
50.2°, I = 24
53.5°, I = 19
61.2°, I = 12
67.4°, I = 16
71.3°, I = 16
78.1°, I = 11

Structure:
a = 8.8806 Å, b = 8.8806 Å, c = 8.8806 Å
α = 55.81°, β = 55.81°, γ = 55.81°
Fractional coordinates of all 16 atoms:
Nd 0.0000 0.5000 0.5000
Nd 0.5000 0.0000 0.5000
Nd 0.5000 0.5000 0.0000
Tl 0.0000 0.0000 0.5000
Tl 0.0000 0.5000 0.0000
Tl 0.5000 0.0000 0.0000
Tl 0.5000 0.5000 0.5000
Sb 0.0000 0.0000 0.0000
S 0.2310 0.2310 0.7406
S 0.2310 0.7406 0.2310
S 0.2594 0.7690 0.7690
S 0.2649 0.2649 0.2649
S 0.7351 0.7351 0.7351
S 0.7406 0.2310 0.2310
S 0.7690 0.2594 0.7690
S 0.7690 0.7690 0.2594

Structure and simulated PXRD pattern of ErZr4Hg5 (a crystal structure in Alexandria, relaxed with GGA-PBE; Cu Kα (λ = 1.5418 Å)).
No peak broadening, texture or thermal motion is included.

Main lines, low angle first (2θ = 10–90°):
25.0°, I = 11
35.6°, I = 52
35.8°, I = 100
51.2°, I = 19
51.8°, I = 8
64.1°, I = 37
64.4°, I = 17
75.4°, I = 6
75.8°, I = 11
86.2°, I = 9
86.3°, I = 8
87.3°, I = 7

Structure:
a = 3.5671 Å, b = 3.5671 Å, c = 17.6452 Å
α = 90.00°, β = 90.00°, γ = 90.00°
Fractional coordinates of all 10 atoms:
Er 0.0000 0.0000 0.0000
Zr 0.0000 0.0000 0.2069
Zr 0.0000 0.0000 0.4016
Zr 0.0000 0.0000 0.5984
Zr 0.0000 0.0000 0.7931
Hg 0.5000 0.5000 0.1070
Hg 0.5000 0.5000 0.3041
Hg 0.5000 0.5000 0.5000
Hg 0.5000 0.5000 0.6959
Hg 0.5000 0.5000 0.8930

Structure and simulated PXRD pattern of Pr5Dy12Ho2 (a crystal structure in Alexandria, relaxed with GGA-PBE; Cu Kα (λ = 1.5418 Å)).
No peak broadening, texture or thermal motion is included.

Main lines, low angle first (2θ = 10–90°):
25.7°, I = 24
28.0°, I = 37
28.4°, I = 35
29.6°, I = 66
30.1°, I = 100
31.1°, I = 67
31.7°, I = 25
32.4°, I = 32
33.4°, I = 61
33.7°, I = 21
35.8°, I = 33
60.0°, I = 21

Structure:
a = 10.0391 Å, b = 10.0391 Å, c = 8.7005 Å
α = 112.73°, β = 112.73°, γ = 53.94°
Fractional coordinates of all 19 atoms:
Pr 0.0000 0.0000 0.0000
Pr 0.2367 0.2367 0.7934
Pr 0.2883 0.2883 0.2769
Pr 0.7117 0.7117 0.7231
Pr 0.7633 0.7633 0.2066
Dy 0.0401 0.6700 0.5940
Dy 0.0456 0.0456 0.6821
Dy 0.1528 0.5954 0.0458
Dy 0.3300 0.9599 0.4060
Dy 0.4046 0.8472 0.9542
Dy 0.4393 0.4393 0.7834
Dy 0.5607 0.5607 0.2166
Dy 0.5954 0.1528 0.0458
Dy 0.6700 0.0401 0.5940
Dy 0.8472 0.4046 0.9542
Dy 0.9544 0.9544 0.3179
Dy 0.9599 0.3300 0.4060
Ho 0.3270 0.6730 0.5000
Ho 0.6730 0.3270 0.5000

Structure and simulated PXRD pattern of Sr6SiHg5 (a crystal structure in Alexandria, relaxed with GGA-PBE; Cu Kα (λ = 1.5418 Å)).
No peak broadening, texture or thermal motion is included.

Main lines, low angle first (2θ = 10–90°):
22.5°, I = 12
31.8°, I = 100
32.0°, I = 25
32.1°, I = 25
45.3°, I = 9
45.9°, I = 18
56.5°, I = 20
56.9°, I = 19
57.0°, I = 19
66.5°, I = 12
75.1°, I = 9
76.0°, I = 12

Structure:
a = 8.8522 Å, b = 8.8522 Å, c = 8.0106 Å
α = 90.00°, β = 90.00°, γ = 143.24°
Fractional coordinates of all 12 atoms:
Sr 0.0000 0.0000 0.2407
Sr 0.0000 0.0000 0.7593
Sr 0.3379 0.6621 0.2472
Sr 0.3379 0.6621 0.7528
Sr 0.6621 0.3379 0.2472
Sr 0.6621 0.3379 0.7528
Si 0.5000 0.5000 0.0000
Hg 0.1687 0.8313 0.0000
Hg 0.1688 0.8312 0.5000
Hg 0.5000 0.5000 0.5000
Hg 0.8313 0.1687 0.0000
Hg 0.8312 0.1688 0.5000

Structure and simulated PXRD pattern of CsBaHgAu (a crystal structure in Alexandria, relaxed with GGA-PBE; Cu Kα (λ = 1.5418 Å)).
No peak broadening, texture or thermal motion is included.

Main lines, low angle first (2θ = 10–90°):
21.0°, I = 5
29.8°, I = 100
36.7°, I = 2
42.7°, I = 19
48.0°, I = 3
52.9°, I = 41
62.0°, I = 13
66.2°, I = 1
70.3°, I = 18
74.3°, I = 1
78.2°, I = 4
85.8°, I = 22

Structure:
a = 8.4725 Å, b = 8.4725 Å, c = 8.4725 Å
α = 90.00°, β = 90.00°, γ = 90.00°
Fractional coordinates of all 16 atoms:
Cs 0.0000 0.0000 0.0000
Cs 0.0000 0.5000 0.5000
Cs 0.5000 0.0000 0.5000
Cs 0.5000 0.5000 0.0000
Ba 0.0000 0.0000 0.5000
Ba 0.0000 0.5000 0.0000
Ba 0.5000 0.0000 0.0000
Ba 0.5000 0.5000 0.5000
Hg 0.2500 0.2500 0.7500
Hg 0.2500 0.7500 0.2500
Hg 0.7500 0.2500 0.2500
Hg 0.7500 0.7500 0.7500
Au 0.2500 0.2500 0.2500
Au 0.2500 0.7500 0.7500
Au 0.7500 0.2500 0.7500
Au 0.7500 0.7500 0.2500

Structure and simulated PXRD pattern of ScAu (a crystal structure in Alexandria, relaxed with GGA-PBE; Cu Kα (λ = 1.5418 Å)).
No peak broadening, texture or thermal motion is included.

Main lines, low angle first (2θ = 10–90°):
23.0°, I = 36
28.2°, I = 44
32.7°, I = 37
36.7°, I = 100
40.4°, I = 36
47.0°, I = 9
50.0°, I = 27
52.9°, I = 19
61.1°, I = 11
63.6°, I = 43
71.0°, I = 24
80.4°, I = 11

Structure:
a = 5.4721 Å, b = 5.4721 Å, c = 5.4721 Å
α = 90.00°, β = 90.00°, γ = 90.00°
Fractional coordinates of all 8 atoms:
Sc 0.0773 0.0773 0.0773
Sc 0.4227 0.9227 0.5773
Sc 0.5773 0.4227 0.9227
Sc 0.9227 0.5773 0.4227
Au 0.0770 0.5770 0.9230
Au 0.4230 0.4230 0.4230
Au 0.5770 0.9230 0.0770
Au 0.9230 0.0770 0.5770

Structure and simulated PXRD pattern of Cs2K3H5 (a crystal structure in Alexandria, relaxed with GGA-PBE; Cu Kα (λ = 1.5418 Å)).
No peak broadening, texture or thermal motion is included.

Main lines, low angle first (2θ = 10–90°):
12.2°, I = 38
20.7°, I = 30
22.7°, I = 30
25.3°, I = 50
25.6°, I = 51
26.5°, I = 100
29.0°, I = 84
32.1°, I = 25
43.6°, I = 17
44.0°, I = 18
48.9°, I = 18
50.4°, I = 16

Structure:
a = 7.6172 Å, b = 7.6172 Å, c = 10.5253 Å
α = 123.94°, β = 123.94°, γ = 32.16°
Fractional coordinates of all 10 atoms:
Cs 0.1753 0.1753 0.2683
Cs 0.8247 0.8247 0.7317
K 0.0000 0.0000 0.5000
K 0.3870 0.3870 0.1232
K 0.6130 0.6130 0.8768
H 0.1941 0.1941 0.8140
H 0.4124 0.4124 0.5880
H 0.5000 0.5000 0.0000
H 0.5876 0.5876 0.4120
H 0.8059 0.8059 0.1860

Structure and simulated PXRD pattern of HoUMn2 (a crystal structure in Alexandria, relaxed with GGA-PBE; Cu Kα (λ = 1.5418 Å)).
No peak broadening, texture or thermal motion is included.

Main lines, low angle first (2θ = 10–90°):
17.5°, I = 23
29.9°, I = 100
34.9°, I = 23
36.0°, I = 67
36.2°, I = 83
36.8°, I = 45
37.8°, I = 29
45.4°, I = 21
53.2°, I = 22
54.2°, I = 22
60.5°, I = 18
66.9°, I = 24

Structure:
a = 5.9929 Å, b = 4.9830 Å, c = 9.5266 Å
α = 90.00°, β = 90.00°, γ = 90.00°
Fractional coordinates of all 16 atoms:
Ho 0.1795 0.2500 0.1570
Ho 0.3205 0.7500 0.6570
Ho 0.6795 0.2500 0.3430
Ho 0.8205 0.7500 0.8430
U 0.0032 0.2500 0.6334
U 0.4968 0.7500 0.1335
U 0.5032 0.2500 0.8666
U 0.9968 0.7500 0.3666
Mn 0.0974 0.2500 0.8612
Mn 0.2345 0.2500 0.4644
Mn 0.2655 0.7500 0.9644
Mn 0.4026 0.7500 0.3612
Mn 0.5974 0.2500 0.6388
Mn 0.7345 0.2500 0.0356
Mn 0.7655 0.7500 0.5356
Mn 0.9026 0.7500 0.1388